# 1
The following is a computed powder X-ray diffraction pattern of V4O3F9. It was derived from a structure optimized by DFT (GGA+U), using Cu Kα (weighted mean of Kα1 and Kα2).
Peak positions follow from Bragg's law for the DFT cell and can differ from measured ones.

Cell and atoms:
Cell: 5.253 5.387 17.466 Å, 89.28 82.04 61.21°
Atoms (fractional coordinates):
V1 0.000 0.000 0.000
V2 0.008 0.526 0.497
V3 0.240 0.399 0.130
V4 0.273 0.876 0.631
V5 0.531 0.295 0.753
V6 0.541 0.753 0.252
V7 0.768 0.645 0.877
V8 0.777 0.107 0.372
O1 0.318 0.604 0.688
O2 0.676 0.470 0.795
O3 0.695 0.965 0.300
O4 0.840 0.799 0.441
O5 0.863 0.815 0.960
O6 0.886 0.583 0.169
F1 0.183 0.220 0.041
F2 0.197 0.415 0.836
F3 0.197 0.921 0.338
F4 0.208 0.711 0.542
F5 0.224 0.199 0.564
F6 0.242 0.701 0.065
F7 0.315 0.059 0.186
F8 0.338 0.874 0.918
F9 0.347 0.085 0.709
F10 0.362 0.330 0.420
F11 0.376 0.531 0.212
F12 0.682 0.179 0.088
F13 0.696 0.689 0.588
F14 0.743 0.945 0.809
F15 0.749 0.439 0.317
F16 0.791 0.342 0.944
F17 0.847 0.109 0.664
F18 0.853 0.290 0.461

Most intense lines, 5 to 70 degrees two-theta, in order of rising 2θ:
Position (°2θ)	I_rel
23.44	100
23.65	99
23.77	100
33.10	25
39.83	14
47.93	22
48.38	21
48.66	20
53.50	24
53.89	22

=====

# 2
The following is a computed powder X-ray diffraction pattern of BaCeEuNiO6. It was derived from a structure optimized by DFT (GGA+U), using Cu Kα (weighted mean of Kα1 and Kα2).
Peak positions follow from Bragg's law for the DFT cell and can differ from measured ones.

Cell and atoms:
Cell: 5.844 5.844 5.844 Å, 60.00 60.00 60.00°
Atoms (fractional coordinates):
Ba1 0.000 0.000 0.000
Ce1 0.750 0.750 0.750
Eu1 0.500 0.500 0.500
Ni1 0.250 0.250 0.250
O1 0.016 0.016 0.484
O2 0.016 0.484 0.016
O3 0.016 0.484 0.484
O4 0.484 0.016 0.016
O5 0.484 0.016 0.484
O6 0.484 0.484 0.016

Most intense lines, 5 to 70 degrees two-theta, in order of rising 2θ:
Position (°2θ)	I_rel
18.60	5
30.60	100
36.04	4
37.70	6
43.82	30
47.98	2
54.38	40
57.98	1
63.70	18
66.99	1

=====

# 3
The following is a computed powder X-ray diffraction pattern of LaZnCrSnO6. It was derived from a structure optimized by DFT (GGA+U), using Cu Kα (weighted mean of Kα1 and Kα2).
Peak positions follow from Bragg's law for the DFT cell and can differ from measured ones.

Cell and atoms:
Cell: 5.457 5.601 9.608 Å, 90.00 124.37 90.00°
Atoms (fractional coordinates):
La1 0.000 0.213 0.000
La2 0.000 0.787 0.500
Zn1 0.479 0.281 0.501
Zn2 0.479 0.719 0.001
Cr1 0.240 0.254 0.750
Cr2 0.240 0.746 0.250
Sn1 0.739 0.255 0.251
Sn2 0.739 0.745 0.751
O1 0.008 0.457 0.806
O2 0.008 0.543 0.306
O3 0.118 0.058 0.314
O4 0.118 0.942 0.814
O5 0.386 0.468 0.192
O6 0.386 0.532 0.692
O7 0.486 0.061 0.687
O8 0.486 0.939 0.187
O9 0.575 0.304 0.996
O10 0.575 0.696 0.496
O11 0.857 0.221 0.503
O12 0.857 0.779 0.003

Most intense lines, 5 to 70 degrees two-theta, in order of rising 2θ:
Position (°2θ)	I_rel
19.76	11
31.96	24
32.16	100
32.82	22
45.76	13
46.47	24
56.90	12
57.08	18
58.08	12
58.27	12

=====

# 4
The following is a computed powder X-ray diffraction pattern of Fe10O9F11. It was derived from a structure optimized by DFT (GGA+U), using Cu Kα (weighted mean of Kα1 and Kα2).
Peak positions follow from Bragg's law for the DFT cell and can differ from measured ones.

Cell and atoms:
Cell: 4.775 15.417 4.786 Å, 90.00 94.67 90.00°
Atoms (fractional coordinates):
Fe1 0.000 0.000 0.000
Fe2 0.003 0.202 0.004
Fe3 0.003 0.798 0.004
Fe4 0.500 0.098 0.500
Fe5 0.500 0.902 0.500
Fe6 0.506 0.292 0.513
Fe7 0.506 0.708 0.513
Fe8 0.547 0.500 0.492
Fe9 0.969 0.410 0.987
Fe10 0.969 0.590 0.987
O1 0.299 0.198 0.303
O2 0.299 0.802 0.303
O3 0.300 0.000 0.299
O4 0.684 0.395 0.680
O5 0.684 0.605 0.680
O6 0.702 0.000 0.701
O7 0.702 0.196 0.705
O8 0.702 0.804 0.705
O9 0.797 0.500 0.200
F1 0.192 0.299 0.807
F2 0.192 0.701 0.807
F3 0.193 0.100 0.810
F4 0.193 0.900 0.810
F5 0.211 0.500 0.788
F6 0.294 0.397 0.290
F7 0.294 0.603 0.290
F8 0.800 0.298 0.196
F9 0.800 0.702 0.196
F10 0.809 0.100 0.193
F11 0.809 0.900 0.193

Most intense lines, 5 to 70 degrees two-theta, in order of rising 2θ:
Position (°2θ)	I_rel
25.34	100
27.53	89
34.65	97
38.85	17
50.94	65
52.04	19
53.41	49
59.99	20
66.14	30
66.26	19

=====

# 5
The following is a computed powder X-ray diffraction pattern of SrTiFeBiO6. It was derived from a structure optimized by DFT (GGA+U), using Cu Kα (weighted mean of Kα1 and Kα2).
Peak positions follow from Bragg's law for the DFT cell and can differ from measured ones.

Cell and atoms:
Cell: 5.661 5.661 5.661 Å, 59.68 59.68 59.68°
Atoms (fractional coordinates):
Sr1 0.000 0.000 0.000
Ti1 0.249 0.249 0.249
Fe1 0.758 0.758 0.758
Bi1 0.475 0.475 0.475
O1 0.042 0.561 0.464
O2 0.075 0.512 0.962
O3 0.464 0.042 0.561
O4 0.512 0.962 0.075
O5 0.561 0.464 0.042
O6 0.962 0.075 0.512

Most intense lines, 5 to 70 degrees two-theta, in order of rising 2θ:
Position (°2θ)	I_rel
19.28	33
22.26	49
31.61	95
31.77	100
37.38	29
39.14	30
45.43	53
51.04	20
56.49	39
56.60	23

=====

# 6
The following is a computed powder X-ray diffraction pattern of CaNiGe2O6. It was derived from a structure optimized by DFT (GGA+U), using Cu Kα (weighted mean of Kα1 and Kα2).
Peak positions follow from Bragg's law for the DFT cell and can differ from measured ones.

Cell and atoms:
Cell: 6.832 6.832 5.478 Å, 101.57 101.57 83.03°
Atoms (fractional coordinates):
Ca1 0.198 0.802 0.750
Ca2 0.802 0.198 0.250
Ni1 0.411 0.589 0.250
Ni2 0.589 0.411 0.750
Ge1 0.117 0.314 0.780
Ge2 0.314 0.117 0.280
Ge3 0.686 0.883 0.720
Ge4 0.883 0.686 0.220
O1 0.109 0.171 0.023
O2 0.126 0.602 0.340
O3 0.171 0.109 0.523
O4 0.303 0.483 0.867
O5 0.398 0.874 0.160
O6 0.483 0.303 0.367
O7 0.517 0.697 0.633
O8 0.602 0.126 0.840
O9 0.697 0.517 0.133
O10 0.829 0.891 0.477
O11 0.874 0.398 0.660
O12 0.891 0.829 0.977

Most intense lines, 5 to 70 degrees two-theta, in order of rising 2θ:
Position (°2θ)	I_rel
28.95	100
33.97	33
34.22	25
34.31	50
38.91	15
54.38	25
59.34	13
62.62	12
64.52	13
67.28	13

=====

Copy entry 2 word for word.
The following is a computed powder X-ray diffraction pattern of BaCeEuNiO6. It was derived from a structure optimized by DFT (GGA+U), using Cu Kα (weighted mean of Kα1 and Kα2).
Peak positions follow from Bragg's law for the DFT cell and can differ from measured ones.

Cell and atoms:
Cell: 5.844 5.844 5.844 Å, 60.00 60.00 60.00°
Atoms (fractional coordinates):
Ba1 0.000 0.000 0.000
Ce1 0.750 0.750 0.750
Eu1 0.500 0.500 0.500
Ni1 0.250 0.250 0.250
O1 0.016 0.016 0.484
O2 0.016 0.484 0.016
O3 0.016 0.484 0.484
O4 0.484 0.016 0.016
O5 0.484 0.016 0.484
O6 0.484 0.484 0.016

Most intense lines, 5 to 70 degrees two-theta, in order of rising 2θ:
Position (°2θ)	I_rel
18.60	5
30.60	100
36.04	4
37.70	6
43.82	30
47.98	2
54.38	40
57.98	1
63.70	18
66.99	1